Record 1
Computed powder XRD pattern of CsB3H8 for Cu Kα X-rays, from a cell relaxed with PBE.
No peak broadening, texture or thermal motion is included.

Crystal structure
```
data_CsB3H8
_cell_length_a 7.4935
_cell_length_b 8.7380
_cell_length_c 9.1214
_cell_angle_alpha 90.00
_cell_angle_beta 90.00
_cell_angle_gamma 90.00
_space_group_name_H-M_alt 'C m c m'
_space_group_IT_number 63
_space_group_name_Hall '-C 2c 2'
loop_
_atom_site_label
_atom_site_type_symbol
_atom_site_fract_x
_atom_site_fract_y
_atom_site_fract_z
Cs1 Cs 0.0000 0.1779 0.2500
B1 B 0.0000 0.2224 0.6513
B2 B 0.0000 0.3974 0.7500
H1 H 0.0000 0.3548 0.5942
H2 H 0.1323 0.1635 0.6056
H3 H 0.1355 0.4724 0.7500
```

Peak list (10 most intense, 2θ from 10° to 90°, sorted by position)
15.58°, d = 5.688 Å, I 23, hkl 1 1 0
18.38°, d = 4.827 Å, I 100, hkl 1 1 1
19.46°, d = 4.561 Å, I 60, hkl 0 0 2
20.33°, d = 4.369 Å, I 24, hkl 0 2 0
22.57°, d = 3.940 Å, I 43, hkl 0 2 1
23.75°, d = 3.747 Å, I 45, hkl 2 0 0
30.89°, d = 2.895 Å, I 36, hkl 2 0 2
32.99°, d = 2.715 Å, I 61, hkl 1 3 0
33.42°, d = 2.681 Å, I 42, hkl 1 1 3
38.59°, d = 2.333 Å, I 31, hkl 1 3 2


Record 2
Computed powder XRD pattern of CsBH4 for Cu Kα X-rays, from a cell relaxed with PBE.
No peak broadening, texture or thermal motion is included.

Crystal structure
```
data_CsBH4
_cell_length_a 7.4514
_cell_length_b 7.4514
_cell_length_c 7.4514
_cell_angle_alpha 90.00
_cell_angle_beta 90.00
_cell_angle_gamma 90.00
_space_group_name_H-M_alt 'F -4 3 m'
_space_group_IT_number 216
_space_group_name_Hall 'F -4 2 3'
loop_
_atom_site_label
_atom_site_type_symbol
_atom_site_fract_x
_atom_site_fract_y
_atom_site_fract_z
Cs1 Cs 0.0000 0.0000 0.0000
B1 B 0.0000 0.0000 0.5000
H1 H 0.0955 0.0955 0.5955
```

Peak list (10 most intense, 2θ from 10° to 90°, sorted by position)
20.65°, d = 4.302 Å, I 100, hkl 1 1 1
23.88°, d = 3.726 Å, I 80, hkl 2 0 0
34.03°, d = 2.634 Å, I 61, hkl 2 2 0
40.14°, d = 2.247 Å, I 60, hkl 3 1 1
42.00°, d = 2.151 Å, I 22, hkl 2 2 2
53.61°, d = 1.709 Å, I 26, hkl 3 3 1
55.12°, d = 1.666 Å, I 29, hkl 4 2 0
60.91°, d = 1.521 Å, I 21, hkl 4 2 2
65.04°, d = 1.434 Å, I 20, hkl 5 1 1
75.48°, d = 1.260 Å, I 19, hkl 5 3 1